For CrH4C4NO10, the GGA+U geometry in Alexandria gives the simulated X-ray powder pattern in this record (Cu Kα (weighted mean of Kα1 and Kα2)).
Neutral-atom scattering factors, no anomalous dispersion.

```
data_CrH4C4NO10
_cell_length_a 6.8945
_cell_length_b 7.4040
_cell_length_c 10.0641
_cell_angle_alpha 90.00
_cell_angle_beta 101.86
_cell_angle_gamma 90.00
_space_group_name_H-M_alt 'C 1 2/m 1'
_space_group_IT_number 12
loop_
_space_group_symop_operation_xyz
'x,y,z'
'-x,-y,-z'
'-x,y,-z'
'x,-y,z'
'x+1/2,y+1/2,z'
'-x+1/2,-y+1/2,-z'
'-x+1/2,y+1/2,-z'
'x+1/2,-y+1/2,z'
loop_
_atom_site_label
_atom_site_fract_x
_atom_site_fract_y
_atom_site_fract_z
Cr1 0.0000 0.0000 0.0000
H1 0.1986 0.3887 0.1099
C1 0.2294 0.1048 0.2538
N1 0.0000 0.5000 0.5000
O1 0.1246 0.1781 0.1435
O2 0.1722 0.3108 0.6504
O3 0.2427 0.5000 0.0683
```

Top 10 peaks for 2θ from 5° to 70°, in order of rising 2θ:
(0 0 1), d 9.849, I 77
(1 1 0), d 4.987, I 13
(1 1 -1), d 4.749, I 100
(0 2 1), d 3.465, I 12
(2 0 -2), d 3.096, I 41
(0 2 2), d 2.959, I 16
(1 3 1), d 2.221, I 10
(0 2 4), d 2.050, I 9
(3 1 -3), d 1.988, I 12
(1 3 3), d 1.834, I 9